No. 1
K3CeP2S8: computed powder diffraction line list (copper Kα), based on a crystal structure in the Materials Project, relaxed with GGA-PBE.
Peak positions follow from Bragg's law for the DFT cell and can differ from measured ones.

abc: 9.202 17.328 9.670
angles: 90.00 90.14 90.00
Element x y z (fractional)
K (0.116, 0.212, 0.131)
K (0.116, 0.288, 0.631)
K (0.231, 0.028, 0.514)
K (0.231, 0.472, 0.014)
K (0.378, 0.706, 0.875)
K (0.378, 0.794, 0.375)
K (0.622, 0.206, 0.625)
K (0.622, 0.294, 0.125)
K (0.769, 0.528, 0.986)
K (0.769, 0.972, 0.486)
K (0.884, 0.712, 0.369)
K (0.884, 0.788, 0.869)
Ce (0.276, 0.513, 0.472)
Ce (0.276, 0.987, 0.972)
Ce (0.724, 0.013, 0.028)
Ce (0.724, 0.487, 0.528)
P (0.024, 0.598, 0.719)
P (0.024, 0.902, 0.219)
P (0.495, 0.102, 0.243)
P (0.495, 0.398, 0.743)
P (0.505, 0.602, 0.257)
P (0.505, 0.898, 0.757)
P (0.976, 0.098, 0.781)
P (0.976, 0.402, 0.281)
S (0.040, 0.019, 0.179)
S (0.040, 0.481, 0.679)
S (0.065, 0.626, 0.919)
S (0.065, 0.874, 0.419)
S (0.166, 0.655, 0.590)
S (0.166, 0.845, 0.090)
S (0.186, 0.128, 0.830)
S (0.186, 0.372, 0.330)
S (0.287, 0.615, 0.225)
S (0.287, 0.885, 0.725)
S (0.377, 0.172, 0.364)
S (0.377, 0.328, 0.864)
S (0.451, 0.515, 0.749)
S (0.451, 0.985, 0.249)
S (0.463, 0.125, 0.034)
S (0.463, 0.375, 0.534)
S (0.537, 0.625, 0.466)
S (0.537, 0.875, 0.966)
S (0.549, 0.015, 0.751)
S (0.549, 0.485, 0.251)
S (0.623, 0.672, 0.136)
S (0.623, 0.828, 0.636)
S (0.713, 0.115, 0.275)
S (0.713, 0.385, 0.775)
S (0.814, 0.628, 0.670)
S (0.814, 0.872, 0.170)
S (0.834, 0.155, 0.910)
S (0.834, 0.345, 0.410)
S (0.935, 0.126, 0.581)
S (0.935, 0.374, 0.081)
S (0.960, 0.519, 0.321)
S (0.960, 0.981, 0.821)

Main lines, by angle (10° ≤ 2θ ≤ 80°):
- 2θ = 10.21°, I = 82
- 2θ = 10.48°, I = 100
- 2θ = 16.78°, I = 40
- 2θ = 26.78°, I = 36
- 2θ = 28.68°, I = 58
- 2θ = 30.98°, I = 25
- 2θ = 33.29°, I = 26
- 2θ = 33.84°, I = 29
- 2θ = 33.96°, I = 32
- 2θ = 34.39°, I = 32

=====

No. 2
K9CeP4S16: computed powder diffraction line list (copper Kα), based on a crystal structure in the Materials Project, relaxed with GGA-PBE.
Peak positions follow from Bragg's law for the DFT cell and can differ from measured ones.

abc: 11.378 11.378 17.796
angles: 112.95 112.95 51.64
Element x y z (fractional)
K (0.003, 0.526, 0.630)
K (0.014, 0.491, 0.130)
K (0.070, 0.095, 0.478)
K (0.095, 0.070, 0.978)
K (0.247, 0.753, 0.750)
K (0.404, 0.431, 0.896)
K (0.431, 0.404, 0.396)
K (0.474, 0.997, 0.870)
K (0.491, 0.014, 0.630)
K (0.509, 0.986, 0.370)
K (0.526, 0.003, 0.130)
K (0.569, 0.596, 0.604)
K (0.596, 0.569, 0.104)
K (0.753, 0.247, 0.250)
K (0.905, 0.930, 0.022)
K (0.930, 0.905, 0.522)
K (0.986, 0.509, 0.870)
K (0.997, 0.474, 0.370)
Ce (0.254, 0.746, 0.250)
Ce (0.746, 0.254, 0.750)
P (0.114, 0.142, 0.710)
P (0.142, 0.114, 0.210)
P (0.366, 0.376, 0.082)
P (0.376, 0.366, 0.582)
P (0.624, 0.634, 0.418)
P (0.634, 0.624, 0.918)
P (0.858, 0.886, 0.790)
P (0.886, 0.858, 0.290)
S (0.069, 0.759, 0.859)
S (0.079, 0.134, 0.814)
S (0.105, 0.748, 0.360)
S (0.134, 0.079, 0.314)
S (0.216, 0.257, 0.744)
S (0.241, 0.931, 0.641)
S (0.252, 0.272, 0.008)
S (0.252, 0.576, 0.554)
S (0.252, 0.597, 0.066)
S (0.252, 0.895, 0.140)
S (0.257, 0.216, 0.244)
S (0.272, 0.252, 0.508)
S (0.375, 0.412, 0.207)
S (0.403, 0.748, 0.434)
S (0.412, 0.375, 0.707)
S (0.424, 0.748, 0.946)
S (0.576, 0.252, 0.054)
S (0.588, 0.625, 0.293)
S (0.597, 0.252, 0.566)
S (0.625, 0.588, 0.793)
S (0.728, 0.748, 0.492)
S (0.743, 0.784, 0.756)
S (0.748, 0.105, 0.860)
S (0.748, 0.403, 0.934)
S (0.748, 0.424, 0.446)
S (0.748, 0.728, 0.992)
S (0.759, 0.069, 0.359)
S (0.784, 0.743, 0.256)
S (0.866, 0.921, 0.686)
S (0.895, 0.252, 0.640)
S (0.921, 0.866, 0.186)
S (0.931, 0.241, 0.141)

Main lines, by angle (10° ≤ 2θ ≤ 80°):
- 2θ = 10.50°, I = 55
- 2θ = 11.04°, I = 70
- 2θ = 16.48°, I = 57
- 2θ = 25.15°, I = 54
- 2θ = 26.39°, I = 100
- 2θ = 29.02°, I = 61
- 2θ = 30.51°, I = 100
- 2θ = 33.29°, I = 63
- 2θ = 33.32°, I = 61
- 2θ = 34.89°, I = 59

=====

No. 3
KCeSiS4: computed powder diffraction line list (copper Kα), based on a crystal structure in the Materials Project, relaxed with GGA-PBE.
Peak positions follow from Bragg's law for the DFT cell and can differ from measured ones.

abc: 6.578 6.607 8.837
angles: 90.00 106.97 90.00
Element x y z (fractional)
K (0.226, 0.250, 0.434)
K (0.774, 0.750, 0.566)
Ce (0.268, 0.250, 0.949)
Ce (0.732, 0.750, 0.051)
Si (0.284, 0.750, 0.182)
Si (0.716, 0.250, 0.818)
S (0.086, 0.750, 0.332)
S (0.102, 0.750, 0.937)
S (0.496, 0.001, 0.221)
S (0.496, 0.499, 0.221)
S (0.504, 0.501, 0.779)
S (0.504, 0.999, 0.779)
S (0.898, 0.250, 0.063)
S (0.914, 0.250, 0.668)

Main lines, by angle (10° ≤ 2θ ≤ 80°):
- 2θ = 10.47°, I = 100
- 2θ = 19.48°, I = 34
- 2θ = 26.99°, I = 28
- 2θ = 30.06°, I = 25
- 2θ = 31.78°, I = 35
- 2θ = 33.04°, I = 24
- 2θ = 34.46°, I = 23
- 2θ = 34.86°, I = 21
- 2θ = 38.65°, I = 22
- 2θ = 39.56°, I = 26